# 1
Theoretical powder X-ray diffraction pattern
Compound: CsHgB2Br8
Radiation: Cu Kα, 1.54184 Å
Structure: a DFT-relaxed cell (PBE, Alexandria)

Largest 10 diffraction maxima, in order of rising 2θ, 10° ≤ 2θ ≤ 90°:
18.9°, I 65, hkl 1 0 4; 25.9°, I 15, hkl 0 0 9; 26.2°, I 17, hkl 1 1 0; 27.6°, I 61, hkl 2 -1 3; 30.9°, I 18, hkl 2 0 2; 31.5°, I 100, hkl 1 1 6; 32.6°, I 18, hkl 1 0 10; 44.0°, I 27, hkl 2 -1 12; 46.2°, I 27, hkl 3 0 0; 50.4°, I 16, hkl 2 1 10

Cell and atoms:
```
data_CsHgB2Br8
_chemical_formula_sum 'Cs3 Hg3 B6 Br24'
_space_group_name_H-M_alt 'R -3'
_space_group_IT_number 148
_space_group_name_Hall '-R 3'
_cell_length_a 6.8050
_cell_length_b 6.8050
_cell_length_c 31.0070
_cell_angle_alpha 90.00
_cell_angle_beta 90.00
_cell_angle_gamma 120.00
loop_
_atom_site_label
_atom_site_type_symbol
_atom_site_fract_x
_atom_site_fract_y
_atom_site_fract_z
Cs1 Cs 0.0000 0.0000 0.0000
Hg1 Hg 0.0000 0.0000 0.5000
B1 B 0.0000 0.0000 0.2507
Br1 Br 0.0000 0.0000 0.3162
Br2 Br 0.0326 0.2978 0.7708
```

---

# 2
Theoretical powder X-ray diffraction pattern
Compound: Cs2BSeBr6
Radiation: Cu Kα, 1.54184 Å
Structure: a DFT-relaxed cell (PBE, Alexandria)

Largest 10 diffraction maxima, in order of rising 2θ, 10° ≤ 2θ ≤ 90°:
22.4°, I 24, hkl 1 1 2; 27.4°, I 19, hkl 2 1 1; 27.9°, I 100, hkl 2 0 2; 30.1°, I 36, hkl 0 0 4; 33.5°, I 48, hkl 2 2 0; 36.4°, I 16, hkl 3 0 1; 45.6°, I 34, hkl 2 2 4; 48.0°, I 13, hkl 4 0 0; 56.5°, I 15, hkl 4 2 2; 57.7°, I 13, hkl 4 0 4

Cell and atoms:
```
data_Cs2BSeBr6
_chemical_formula_sum 'Cs4 B2 Se2 Br12'
_space_group_name_H-M_alt 'I 4/m m m'
_space_group_IT_number 139
_space_group_name_Hall '-I 4 2'
_cell_length_a 7.5765
_cell_length_b 7.5765
_cell_length_c 11.8699
_cell_angle_alpha 90.00
_cell_angle_beta 90.00
_cell_angle_gamma 90.00
loop_
_atom_site_label
_atom_site_type_symbol
_atom_site_fract_x
_atom_site_fract_y
_atom_site_fract_z
Cs1 Cs 0.0000 0.5000 0.2500
B1 B 0.0000 0.0000 0.0000
Se1 Se 0.0000 0.0000 0.5000
Br1 Br 0.0000 0.0000 0.2814
Br2 Br 0.2056 0.2056 0.0000
```

---

What did the second record say?
Theoretical powder X-ray diffraction pattern
Compound: Cs2BSeBr6
Radiation: Cu Kα, 1.54184 Å
Structure: a DFT-relaxed cell (PBE, Alexandria)

Largest 10 diffraction maxima, in order of rising 2θ, 10° ≤ 2θ ≤ 90°:
22.4°, I 24, hkl 1 1 2; 27.4°, I 19, hkl 2 1 1; 27.9°, I 100, hkl 2 0 2; 30.1°, I 36, hkl 0 0 4; 33.5°, I 48, hkl 2 2 0; 36.4°, I 16, hkl 3 0 1; 45.6°, I 34, hkl 2 2 4; 48.0°, I 13, hkl 4 0 0; 56.5°, I 15, hkl 4 2 2; 57.7°, I 13, hkl 4 0 4

Cell and atoms:
```
data_Cs2BSeBr6
_chemical_formula_sum 'Cs4 B2 Se2 Br12'
_space_group_name_H-M_alt 'I 4/m m m'
_space_group_IT_number 139
_space_group_name_Hall '-I 4 2'
_cell_length_a 7.5765
_cell_length_b 7.5765
_cell_length_c 11.8699
_cell_angle_alpha 90.00
_cell_angle_beta 90.00
_cell_angle_gamma 90.00
loop_
_atom_site_label
_atom_site_type_symbol
_atom_site_fract_x
_atom_site_fract_y
_atom_site_fract_z
Cs1 Cs 0.0000 0.5000 0.2500
B1 B 0.0000 0.0000 0.0000
Se1 Se 0.0000 0.0000 0.5000
Br1 Br 0.0000 0.0000 0.2814
Br2 Br 0.2056 0.2056 0.0000
```

---

Please write out number 1 again, unchanged.
Theoretical powder X-ray diffraction pattern
Compound: CsHgB2Br8
Radiation: Cu Kα, 1.54184 Å
Structure: a DFT-relaxed cell (PBE, Alexandria)

Largest 10 diffraction maxima, in order of rising 2θ, 10° ≤ 2θ ≤ 90°:
18.9°, I 65, hkl 1 0 4; 25.9°, I 15, hkl 0 0 9; 26.2°, I 17, hkl 1 1 0; 27.6°, I 61, hkl 2 -1 3; 30.9°, I 18, hkl 2 0 2; 31.5°, I 100, hkl 1 1 6; 32.6°, I 18, hkl 1 0 10; 44.0°, I 27, hkl 2 -1 12; 46.2°, I 27, hkl 3 0 0; 50.4°, I 16, hkl 2 1 10

Cell and atoms:
```
data_CsHgB2Br8
_chemical_formula_sum 'Cs3 Hg3 B6 Br24'
_space_group_name_H-M_alt 'R -3'
_space_group_IT_number 148
_space_group_name_Hall '-R 3'
_cell_length_a 6.8050
_cell_length_b 6.8050
_cell_length_c 31.0070
_cell_angle_alpha 90.00
_cell_angle_beta 90.00
_cell_angle_gamma 120.00
loop_
_atom_site_label
_atom_site_type_symbol
_atom_site_fract_x
_atom_site_fract_y
_atom_site_fract_z
Cs1 Cs 0.0000 0.0000 0.0000
Hg1 Hg 0.0000 0.0000 0.5000
B1 B 0.0000 0.0000 0.2507
Br1 Br 0.0000 0.0000 0.3162
Br2 Br 0.0326 0.2978 0.7708
```